[1]
Computed powder X-ray diffraction pattern of HoFeP2Ru for Cu Kα, 1.54184 Å, from DFT lattice parameters and positions (GGA-PBE).

Cell lengths 3.9419, 3.9419, 9.5027 Å; angles 90.00, 90.00, 90.00 degrees
Fractional positions:
Ho: 0.0000 0.0000 0.0000
Ho: 0.5000 0.5000 0.5000
Fe: 0.0000 0.5000 0.2500
Fe: 0.5000 0.0000 0.7500
P: 0.0000 0.0000 0.3732
P: 0.0000 0.0000 0.6268
P: 0.5000 0.5000 0.1268
P: 0.5000 0.5000 0.8732
Ru: 0.0000 0.5000 0.7500
Ru: 0.5000 0.0000 0.2500

Peak list (10 most intense, 2θ = 10–90°, in order of falling intensity)
| 2θ (°) | Rel. int. |
| --- | --- |
| 37.4 | 100 |
| 36.4 | 46 |
| 24.4 | 45 |
| 46.1 | 39 |
| 79.5 | 21 |
| 60.1 | 21 |
| 68.1 | 17 |
| 37.9 | 16 |
| 61.1 | 16 |
| 53.5 | 15 |



[2]
Computed powder X-ray diffraction pattern of PmHo3Fe for Cu Kα, 1.54184 Å, from DFT lattice parameters and positions (GGA-PBE).

Cell lengths 5.2650, 5.2650, 5.2650 Å; angles 90.00, 90.00, 90.00 degrees
Fractional positions:
Pm: 0.0000 0.0000 0.0000
Ho: 0.0000 0.5000 0.5000
Ho: 0.5000 0.0000 0.5000
Ho: 0.5000 0.5000 0.0000
Fe: 0.5000 0.5000 0.5000

Peak list (10 most intense, 2θ = 10–90°, in order of falling intensity)
| 2θ (°) | Rel. int. |
| --- | --- |
| 29.4 | 100 |
| 34.1 | 74 |
| 48.9 | 53 |
| 58.1 | 45 |
| 81.8 | 24 |
| 79.3 | 18 |
| 61.0 | 18 |
| 71.7 | 8 |
| 16.8 | 5 |
| 38.2 | 3 |



[3]
Computed powder X-ray diffraction pattern of Ho3FePt12 for Cu Kα, 1.54184 Å, from DFT lattice parameters and positions (GGA-PBE).

Cell lengths 4.0739, 4.0739, 16.1938 Å; angles 90.00, 90.00, 90.00 degrees
Fractional positions:
Ho: 0.0000 0.0000 0.0000
Ho: 0.0000 0.0000 0.2553
Ho: 0.0000 0.0000 0.7447
Fe: 0.0000 0.0000 0.5000
Pt: 0.0000 0.5000 0.1282
Pt: 0.0000 0.5000 0.3864
Pt: 0.0000 0.5000 0.6136
Pt: 0.0000 0.5000 0.8718
Pt: 0.5000 0.0000 0.1282
Pt: 0.5000 0.0000 0.3864
Pt: 0.5000 0.0000 0.6136
Pt: 0.5000 0.0000 0.8718
Pt: 0.5000 0.5000 0.0000
Pt: 0.5000 0.5000 0.2572
Pt: 0.5000 0.5000 0.5000
Pt: 0.5000 0.5000 0.7428

Peak list (10 most intense, 2θ = 10–90°, in order of falling intensity)
| 2θ (°) | Rel. int. |
| --- | --- |
| 38.3 | 100 |
| 44.5 | 34 |
| 77.8 | 26 |
| 64.9 | 20 |
| 44.8 | 15 |
| 64.7 | 11 |
| 78.2 | 11 |
| 82.1 | 10 |
| 72.0 | 2 |
| 35.3 | 2 |



[4]
Computed powder X-ray diffraction pattern of HoPuFe10 for Cu Kα, 1.54184 Å, from DFT lattice parameters and positions (GGA-PBE).

Cell lengths 3.9501, 4.9638, 8.6064 Å; angles 90.00, 90.00, 90.00 degrees
Fractional positions:
Ho: 0.0000 0.0000 0.0000
Pu: 0.0000 0.5000 0.5000
Fe: 0.0000 0.0000 0.3344
Fe: 0.0000 0.0000 0.6656
Fe: 0.0000 0.5000 0.1673
Fe: 0.0000 0.5000 0.8327
Fe: 0.5000 0.0000 0.5000
Fe: 0.5000 0.2494 0.2487
Fe: 0.5000 0.2494 0.7513
Fe: 0.5000 0.5000 0.0000
Fe: 0.5000 0.7506 0.2487
Fe: 0.5000 0.7506 0.7513

Peak list (10 most intense, 2θ = 10–90°, in order of falling intensity)
| 2θ (°) | Rel. int. |
| --- | --- |
| 43.0 | 100 |
| 30.7 | 70 |
| 36.2 | 38 |
| 42.0 | 38 |
| 45.9 | 24 |
| 69.8 | 23 |
| 64.0 | 21 |
| 61.7 | 20 |
| 59.8 | 18 |
| 76.8 | 14 |



[5]
Computed powder X-ray diffraction pattern of Ho2FeRe3 for Cu Kα, 1.54184 Å, from DFT lattice parameters and positions (GGA-PBE).

Cell lengths 5.4234, 5.4234, 5.4234 Å; angles 58.45, 58.45, 58.45 degrees
Fractional positions:
Ho: 0.1246 0.1246 0.1246
Ho: 0.8754 0.8754 0.8754
Fe: 0.5000 0.5000 0.5000
Re: 0.0000 0.5000 0.5000
Re: 0.5000 0.0000 0.5000
Re: 0.5000 0.5000 0.0000

Peak list (10 most intense, 2θ = 10–90°, in order of falling intensity)
| 2θ (°) | Rel. int. |
| --- | --- |
| 39.9 | 100 |
| 39.5 | 87 |
| 33.1 | 64 |
| 41.6 | 63 |
| 38.8 | 46 |
| 69.3 | 33 |
| 71.2 | 30 |
| 63.2 | 26 |
| 19.8 | 25 |
| 60.1 | 24 |



[6]
Computed powder X-ray diffraction pattern of HoFeRe for Cu Kα, 1.54184 Å, from DFT lattice parameters and positions (GGA-PBE).

Cell lengths 5.1568, 5.3015, 7.5954 Å; angles 90.00, 90.00, 90.00 degrees
Fractional positions:
Ho: 0.0000 0.2500 0.1239
Ho: 0.0000 0.7500 0.8761
Ho: 0.5000 0.2500 0.3761
Ho: 0.5000 0.7500 0.6239
Fe: 0.0000 0.0000 0.5000
Fe: 0.0000 0.5000 0.5000
Fe: 0.5000 0.0000 0.0000
Fe: 0.5000 0.5000 0.0000
Re: 0.2500 0.2500 0.7500
Re: 0.2500 0.7500 0.2500
Re: 0.7500 0.2500 0.7500
Re: 0.7500 0.7500 0.2500

Peak list (10 most intense, 2θ = 10–90°, in order of falling intensity)
| 2θ (°) | Rel. int. |
| --- | --- |
| 40.7 | 100 |
| 33.8 | 88 |
| 39.4 | 56 |
| 71.2 | 44 |
| 40.0 | 36 |
| 41.5 | 31 |
| 42.4 | 30 |
| 65.2 | 25 |
| 60.5 | 24 |
| 39.7 | 18 |



[7]
Computed powder X-ray diffraction pattern of HoScFe10 for Cu Kα, 1.54184 Å, from DFT lattice parameters and positions (GGA-PBE).

Cell lengths 3.9494, 4.9101, 8.4803 Å; angles 90.00, 90.00, 90.00 degrees
Fractional positions:
Ho: 0.0000 0.0000 0.0000
Sc: 0.0000 0.5000 0.5000
Fe: 0.0000 0.0000 0.3383
Fe: 0.0000 0.0000 0.6617
Fe: 0.0000 0.5000 0.1719
Fe: 0.0000 0.5000 0.8281
Fe: 0.5000 0.0000 0.5000
Fe: 0.5000 0.2516 0.2542
Fe: 0.5000 0.2516 0.7458
Fe: 0.5000 0.5000 0.0000
Fe: 0.5000 0.7484 0.2542
Fe: 0.5000 0.7484 0.7458

Peak list (10 most intense, 2θ = 10–90°, in order of falling intensity)
| 2θ (°) | Rel. int. |
| --- | --- |
| 43.4 | 100 |
| 30.9 | 36 |
| 42.6 | 33 |
| 46.0 | 28 |
| 36.7 | 28 |
| 64.4 | 18 |
| 10.4 | 17 |
| 48.7 | 15 |
| 70.7 | 14 |
| 60.2 | 12 |



[8]
Computed powder X-ray diffraction pattern of HoFe10Si2 for Cu Kα, 1.54184 Å, from DFT lattice parameters and positions (GGA-PBE).

Cell lengths 6.3320, 6.3320, 6.3320 Å; angles 135.99, 98.41, 97.73 degrees
Fractional positions:
Ho: 0.0000 0.0000 0.0000
Fe: 0.0000 0.0000 0.5000
Fe: 0.0000 0.5000 0.0000
Fe: 0.2084 0.5000 0.7084
Fe: 0.3545 0.0000 0.3545
Fe: 0.3610 0.3610 0.0000
Fe: 0.5000 0.0000 0.0000
Fe: 0.5000 0.5000 0.5000
Fe: 0.6390 0.6390 0.0000
Fe: 0.6455 0.0000 0.6455
Fe: 0.7916 0.5000 0.2916
Si: 0.2343 0.7343 0.5000
Si: 0.7657 0.2657 0.5000

Peak list (10 most intense, 2θ = 10–90°, in order of falling intensity)
| 2θ (°) | Rel. int. |
| --- | --- |
| 43.7 | 100 |
| 44.0 | 89 |
| 37.7 | 48 |
| 43.4 | 30 |
| 30.5 | 26 |
| 43.8 | 25 |
| 30.6 | 23 |
| 37.5 | 22 |
| 72.5 | 21 |
| 49.4 | 19 |



[9]
Computed powder X-ray diffraction pattern of Ho2Fe12Si7 for Cu Kα, 1.54184 Å, from DFT lattice parameters and positions (GGA-PBE).

Cell lengths 9.1196, 9.1196, 3.7321 Å; angles 90.00, 90.00, 120.00 degrees
Fractional positions:
Ho: 0.0000 0.0000 0.0000
Ho: 0.3333 0.6667 0.5000
Fe: 0.0579 0.2958 0.5000
Fe: 0.1082 0.7363 0.0000
Fe: 0.2378 0.9421 0.5000
Fe: 0.2637 0.3718 0.0000
Fe: 0.3864 0.1802 0.0000
Fe: 0.5557 0.4350 0.5000
Fe: 0.5650 0.1206 0.5000
Fe: 0.6282 0.8918 0.0000
Fe: 0.7042 0.7622 0.5000
Fe: 0.7938 0.6136 0.0000
Fe: 0.8198 0.2062 0.0000
Fe: 0.8794 0.4443 0.5000
Si: 0.0586 0.4608 0.0000
Si: 0.2693 0.2176 0.5000
Si: 0.4022 0.9414 0.0000
Si: 0.5392 0.5978 0.0000
Si: 0.6667 0.3333 0.0000
Si: 0.7824 0.0517 0.5000
Si: 0.9483 0.7307 0.5000

Peak list (10 most intense, 2θ = 10–90°, in order of falling intensity)
| 2θ (°) | Rel. int. |
| --- | --- |
| 38.6 | 100 |
| 26.4 | 20 |
| 48.8 | 19 |
| 48.2 | 18 |
| 39.5 | 18 |
| 75.1 | 16 |
| 53.1 | 13 |
| 29.9 | 13 |
| 41.2 | 13 |
| 56.5 | 10 |



[10]
Computed powder X-ray diffraction pattern of Ho2FeSi3 for Cu Kα, 1.54184 Å, from DFT lattice parameters and positions (GGA-PBE).

Cell lengths 8.0385, 7.9978, 5.6410 Å; angles 69.79, 69.02, 41.19 degrees
Fractional positions:
Ho: 0.2480 0.7520 0.7520
Ho: 0.2500 0.2500 0.2500
Ho: 0.7500 0.7500 0.7500
Ho: 0.7520 0.2480 0.2480
Fe: 0.1650 0.1650 0.8350
Fe: 0.8350 0.8350 0.1650
Si: 0.1575 0.6711 0.3289
Si: 0.3279 0.3279 0.6721
Si: 0.3289 0.8425 0.1575
Si: 0.6711 0.1575 0.8425
Si: 0.6721 0.6721 0.3279
Si: 0.8425 0.3289 0.6711

Peak list (10 most intense, 2θ = 10–90°, in order of falling intensity)
| 2θ (°) | Rel. int. |
| --- | --- |
| 34.3 | 100 |
| 25.6 | 42 |
| 45.1 | 21 |
| 66.4 | 20 |
| 57.8 | 15 |
| 76.3 | 13 |
| 53.3 | 12 |
| 45.0 | 11 |
| 46.0 | 10 |
| 22.5 | 9 |